Simulated powder diffraction line list of Mn3FeF8 for copper Kα, from a structure optimized by DFT (GGA+U).
Intensities are scaled so that the largest is 100.

Crystal structure
a = 5.8309 Å, b = 5.8309 Å, c = 6.3997 Å
α = 90.00°, β = 90.00°, γ = 121.66°
Fractional coordinates of all 12 atoms:
Mn  0.0000  0.0000  0.0000
Mn  0.0000  0.5000  0.7508
Mn  0.5000  0.0000  0.2492
Fe  0.0000  0.0000  0.5000
F  0.1982  0.2760  0.7487
F  0.2043  0.7957  0.5000
F  0.2132  0.7868  0.0000
F  0.2760  0.1982  0.2513
F  0.7240  0.8018  0.2513
F  0.7868  0.2132  0.0000
F  0.7957  0.2043  0.5000
F  0.8018  0.7240  0.7487

Largest 8 diffraction maxima, by angle, 10 to 80 degrees two-theta:
| two_theta | d_spacing | I (rel.) |
| --- | --- | --- |
| 17.87 | 4.963 | 100 |
| 22.67 | 3.922 | 96 |
| 33.32 | 2.689 | 33 |
| 35.26 | 2.546 | 41 |
| 42.54 | 2.125 | 70 |
| 49.64 | 1.837 | 20 |
| 56.40 | 1.631 | 36 |
| 69.35 | 1.355 | 15 |